Calculated XRD peak list of Cu4Pd for Cu Kα, 1.54184 Å, from a cell relaxed with PBE.
Intensities are scaled so that the largest is 100.

Principal peaks in the range 2θ from 10° to 80°, most intense first:
| two_theta | d_spacing | intensity |
| --- | --- | --- |
| 42.51 | 2.126 | 100.0 |
| 49.25 | 1.850 | 31.8 |
| 72.80 | 1.299 | 18.3 |
| 49.98 | 1.825 | 15.3 |
| 72.22 | 1.308 | 9.2 |
| 24.74 | 3.599 | 1.6 |
| 19.45 | 4.565 | 1.6 |
| 36.48 | 2.463 | 1.2 |
| 24.39 | 3.649 | 1.2 |
| 32.99 | 2.715 | 1.1 |
| 34.27 | 2.616 | 1.1 |

Atomic structure:
Cell lengths 5.8504, 5.8504, 7.2988 Å; angles 90.00, 90.00, 90.00 degrees
Element x y z (fractional)
1 Cu 0.0000 0.0000 0.0000
2 Cu 0.0000 0.0000 0.5000
3 Cu 0.0967 0.2973 0.2494
4 Cu 0.0967 0.2973 0.7506
5 Cu 0.1910 0.6049 0.0000
6 Cu 0.2973 0.9033 0.2506
7 Cu 0.2973 0.9033 0.7494
8 Cu 0.3951 0.1910 0.5000
9 Cu 0.5000 0.5000 0.2500
10 Cu 0.5000 0.5000 0.7500
11 Cu 0.6049 0.8090 0.5000
12 Cu 0.7027 0.0967 0.2506
13 Cu 0.7027 0.0967 0.7494
14 Cu 0.8090 0.3951 0.0000
15 Cu 0.9033 0.7027 0.2494
16 Cu 0.9033 0.7027 0.7506
17 Pd 0.2089 0.6023 0.5000
18 Pd 0.3977 0.2089 0.0000
19 Pd 0.6023 0.7911 0.0000
20 Pd 0.7911 0.3977 0.5000